No. 1
This entry pairs a crystal structure of In2Hg5Pb5 with its calculated PXRD pattern. Radiation: Cu Kα (λ = 1.5418 Å). Structure: DFT lattice parameters and positions (GGA-PBE).
Peak positions follow from Bragg's law for the DFT cell and can differ from measured ones.

```
data_In2Hg5Pb5
_chemical_formula_sum 'In4 Hg10 Pb10'
_symmetry_space_group_name_H-M 'C 1 2/m 1'
_symmetry_Int_Tables_number 12
_cell_length_a 16.7079
_cell_length_b 3.6697
_cell_length_c 11.5885
_cell_angle_alpha 90.00
_cell_angle_beta 105.93
_cell_angle_gamma 90.00
loop_
_symmetry_equiv_pos_as_xyz
'x,y,z'
'-x,-y,-z'
'-x,y,-z'
'x,-y,z'
'x+1/2,y+1/2,z'
'-x+1/2,-y+1/2,-z'
'-x+1/2,y+1/2,-z'
'x+1/2,-y+1/2,z'
loop_
_atom_site_label
_atom_site_type_symbol
_atom_site_fract_x
_atom_site_fract_y
_atom_site_fract_z
_atom_site_occupancy
In1 In 0.1846 0.0000 0.2668 1
Hg1 Hg 0.0000 0.0000 0.0000 1
Hg2 Hg 0.1584 0.0000 0.7530 1
Hg3 Hg 0.1683 0.5000 0.5043 1
Pb1 Pb 0.0000 0.0000 0.5000 1
Pb2 Pb 0.0099 0.5000 0.2456 1
Pb3 Pb 0.1653 0.5000 0.0113 1
```

The 6 most intense peaks (10° ≤ 2θ ≤ 80°), sorted by position:
- hkl 3 1 -2, 2θ 31.37, I = 100
- hkl 0 0 4, 2θ 32.13, I = 48
- hkl 6 0 0, 2θ 33.46, I = 40
- hkl 3 1 2, 2θ 35.89, I = 69
- hkl 6 0 -4, 2θ 39.78, I = 25
- hkl 3 1 -6, 2θ 53.75, I = 21

***

No. 2
This entry pairs a crystal structure of CsCd2InBr6 with its calculated PXRD pattern. Radiation: Cu Kα (λ = 1.5418 Å). Structure: DFT lattice parameters and positions (GGA-PBE).
Peak positions follow from Bragg's law for the DFT cell and can differ from measured ones.

```
data_CsCd2InBr6
_chemical_formula_sum 'Cs4 Cd8 In4 Br24'
_symmetry_space_group_name_H-M 'C 1 2/c 1'
_symmetry_Int_Tables_number 15
_cell_length_a 15.1598
_cell_length_b 15.3849
_cell_length_c 7.4980
_cell_angle_alpha 90.00
_cell_angle_beta 95.82
_cell_angle_gamma 90.00
loop_
_symmetry_equiv_pos_as_xyz
'x,y,z'
'-x,-y,-z'
'-x,y,-z+1/2'
'x,-y,z+1/2'
'x+1/2,y+1/2,z'
'-x+1/2,-y+1/2,-z'
'-x+1/2,y+1/2,-z+1/2'
'x+1/2,-y+1/2,z+1/2'
loop_
_atom_site_label
_atom_site_type_symbol
_atom_site_fract_x
_atom_site_fract_y
_atom_site_fract_z
_atom_site_occupancy
Cs1 Cs 0.0000 0.1040 0.2500 1
Cd1 Cd 0.2097 0.4168 0.2802 1
In1 In 0.0000 0.2925 0.7500 1
Br1 Br 0.1181 0.1032 0.7027 1
Br2 Br 0.1233 0.2886 0.1236 1
Br3 Br 0.1634 0.4305 0.6193 1
```

The 6 most intense peaks (10° ≤ 2θ ≤ 80°), sorted by position:
- hkl 2 2 0, 2θ 16.49, I = 88
- hkl 3 1 0, 2θ 18.57, I = 99
- hkl 2 2 -1, 2θ 19.62, I = 84
- hkl 2 2 1, 2θ 21.05, I = 89
- hkl 0 0 2, 2θ 23.86, I = 98
- hkl 5 3 1, 2θ 37.63, I = 100

***

No. 3
This entry pairs a crystal structure of LiY2PaSb4 with its calculated PXRD pattern. Radiation: Cu Kα (λ = 1.5418 Å). Structure: DFT lattice parameters and positions (GGA-PBE).
Peak positions follow from Bragg's law for the DFT cell and can differ from measured ones.

```
data_LiY2PaSb4
_chemical_formula_sum 'Li1 Y2 Pa1 Sb4'
_symmetry_space_group_name_H-M 'P 1 2/m 1'
_symmetry_Int_Tables_number 10
_cell_length_a 7.4164
_cell_length_b 4.3997
_cell_length_c 7.5903
_cell_angle_alpha 90.00
_cell_angle_beta 108.88
_cell_angle_gamma 90.00
loop_
_symmetry_equiv_pos_as_xyz
'x,y,z'
'-x,-y,-z'
'-x,y,-z'
'x,-y,z'
loop_
_atom_site_label
_atom_site_type_symbol
_atom_site_fract_x
_atom_site_fract_y
_atom_site_fract_z
_atom_site_occupancy
Li1 Li 0.0000 0.0000 0.0000 1
Y1 Y 0.0000 0.5000 0.5000 1
Y2 Y 0.5000 0.0000 0.5000 1
Pa1 Pa 0.5000 0.5000 0.0000 1
Sb1 Sb 0.2480 0.0000 0.7578 1
Sb2 Sb 0.2511 0.5000 0.2429 1
```

The 6 most intense peaks (10° ≤ 2θ ≤ 80°), sorted by position:
- hkl 1 0 0, 2θ 12.61, I = 20
- hkl 1 1 1, 2θ 28.82, I = 100
- hkl 2 0 -2, 2θ 29.27, I = 48
- hkl 1 1 -3, 2θ 41.16, I = 38
- hkl 3 1 -1, 2θ 41.92, I = 36
- hkl 2 2 -2, 2θ 51.19, I = 20

***

No. 4
This entry pairs a crystal structure of KHg5H2 with its calculated PXRD pattern. Radiation: Cu Kα (λ = 1.5418 Å). Structure: DFT lattice parameters and positions (GGA-PBE).
Peak positions follow from Bragg's law for the DFT cell and can differ from measured ones.

```
data_KHg5H2
_chemical_formula_sum 'K1 Hg5 H2'
_symmetry_space_group_name_H-M 'P -1'
_symmetry_Int_Tables_number 2
_cell_length_a 3.8787
_cell_length_b 6.5127
_cell_length_c 7.9070
_cell_angle_alpha 85.21
_cell_angle_beta 76.98
_cell_angle_gamma 88.78
loop_
_symmetry_equiv_pos_as_xyz
'x,y,z'
'-x,-y,-z'
loop_
_atom_site_label
_atom_site_type_symbol
_atom_site_fract_x
_atom_site_fract_y
_atom_site_fract_z
_atom_site_occupancy
K1 K 0.0000 0.0000 0.0000 1
Hg1 Hg 0.1729 0.4027 0.6681 1
Hg2 Hg 0.3395 0.1342 0.3402 1
Hg3 Hg 0.5000 0.5000 0.0000 1
H1 H 0.1620 0.8891 0.6516 1
```

The 6 most intense peaks (10° ≤ 2θ ≤ 80°), sorted by position:
- hkl 0 2 -1, 2θ 30.77, I = 97
- hkl -1 1 1, 2θ 31.39, I = 84
- hkl 1 1 2, 2θ 31.50, I = 79
- hkl 1 1 -1, 2θ 32.18, I = 82
- hkl 1 -1 2, 2θ 33.21, I = 78
- hkl 0 0 3, 2θ 35.06, I = 100

***

No. 5
This entry pairs a crystal structure of Mg3InHg8 with its calculated PXRD pattern. Radiation: Cu Kα (λ = 1.5418 Å). Structure: DFT lattice parameters and positions (GGA-PBE).
Peak positions follow from Bragg's law for the DFT cell and can differ from measured ones.

```
data_Mg3InHg8
_chemical_formula_sum 'Mg6 In2 Hg16'
_symmetry_space_group_name_H-M 'C 1 m 1'
_symmetry_Int_Tables_number 8
_cell_length_a 11.9925
_cell_length_b 8.7595
_cell_length_c 6.0677
_cell_angle_alpha 90.00
_cell_angle_beta 107.23
_cell_angle_gamma 90.00
loop_
_symmetry_equiv_pos_as_xyz
'x,y,z'
'x,-y,z'
'x+1/2,y+1/2,z'
'x+1/2,-y+1/2,z'
loop_
_atom_site_label
_atom_site_type_symbol
_atom_site_fract_x
_atom_site_fract_y
_atom_site_fract_z
_atom_site_occupancy
Mg1 Mg 0.0000 0.0000 0.0000 1
Mg2 Mg 0.3969 0.2233 0.2674 1
In1 In 0.0001 0.5000 0.9616 1
Hg1 Hg 0.0247 0.0000 0.5289 1
Hg2 Hg 0.0779 0.5000 0.5451 1
Hg3 Hg 0.1502 0.2347 0.2773 1
Hg4 Hg 0.2344 0.0000 0.9527 1
Hg5 Hg 0.2627 0.5000 0.0389 1
Hg6 Hg 0.3441 0.2676 0.7126 1
```

The 6 most intense peaks (10° ≤ 2θ ≤ 80°), sorted by position:
- hkl 2 0 1, 2θ 24.88, I = 43
- hkl 2 2 -1, 2θ 27.42, I = 100
- hkl 4 0 -2, 2θ 37.03, I = 33
- hkl 0 2 2, 2θ 37.21, I = 65
- hkl 4 2 0, 2θ 37.53, I = 40
- hkl 0 4 0, 2θ 41.22, I = 28

***

No. 6
This entry pairs a crystal structure of Ce3Sn5Rh6 with its calculated PXRD pattern. Radiation: Cu Kα (λ = 1.5418 Å). Structure: DFT lattice parameters and positions (GGA-PBE).
Peak positions follow from Bragg's law for the DFT cell and can differ from measured ones.

```
data_Ce3Sn5Rh6
_chemical_formula_sum 'Ce6 Sn10 Rh12'
_symmetry_space_group_name_H-M 'P m m n'
_symmetry_Int_Tables_number 59
_cell_length_a 4.3738
_cell_length_b 14.2834
_cell_length_c 9.3274
_cell_angle_alpha 90.00
_cell_angle_beta 90.00
_cell_angle_gamma 90.00
loop_
_symmetry_equiv_pos_as_xyz
'x,y,z'
'-x,-y,-z'
'-x+1/2,-y+1/2,z'
'x+1/2,y+1/2,-z'
'x+1/2,-y,-z'
'-x+1/2,y,z'
'-x,y+1/2,-z'
'x,-y+1/2,z'
loop_
_atom_site_label
_atom_site_type_symbol
_atom_site_fract_x
_atom_site_fract_y
_atom_site_fract_z
_atom_site_occupancy
Ce1 Ce 0.2500 0.0680 0.2458 1
Ce2 Ce 0.2500 0.7500 0.3161 1
Sn1 Sn 0.2500 0.0760 0.6144 1
Sn2 Sn 0.2500 0.6341 0.0139 1
Sn3 Sn 0.2500 0.7500 0.7318 1
Rh1 Rh 0.2500 0.0407 0.9002 1
Rh2 Rh 0.2500 0.2500 0.0645 1
Rh3 Rh 0.2500 0.2500 0.4800 1
Rh4 Rh 0.2500 0.6121 0.5404 1
```

The 6 most intense peaks (10° ≤ 2θ ≤ 80°), sorted by position:
- hkl 1 3 2, 2θ 33.82, I = 100
- hkl 0 3 3, 2θ 34.45, I = 21
- hkl 1 5 0, 2θ 37.64, I = 85
- hkl 0 6 0, 2θ 37.80, I = 34
- hkl 2 0 0, 2θ 41.28, I = 52
- hkl 1 5 2, 2θ 42.48, I = 19

***

No. 7
This entry pairs a crystal structure of HfCu2S4 with its calculated PXRD pattern. Radiation: Cu Kα (λ = 1.5418 Å). Structure: DFT lattice parameters and positions (GGA-PBE).
Peak positions follow from Bragg's law for the DFT cell and can differ from measured ones.

```
data_HfCu2S4
_chemical_formula_sum 'Hf4 Cu8 S16'
_symmetry_space_group_name_H-M 'C m c m'
_symmetry_Int_Tables_number 63
_symmetry_space_group_name_Hall '-C 2c 2'
_cell_length_a 3.5290
_cell_length_b 12.2505
_cell_length_c 11.1184
_cell_angle_alpha 90.00
_cell_angle_beta 90.00
_cell_angle_gamma 90.00
loop_
_atom_site_label
_atom_site_type_symbol
_atom_site_fract_x
_atom_site_fract_y
_atom_site_fract_z
_atom_site_occupancy
Hf1 Hf 0.0000 0.1046 0.2500 1
Cu1 Cu 0.0000 0.3761 0.0650 1
S1 S 0.0000 0.0000 0.0000 1
S2 S 0.0000 0.2958 0.6180 1
S3 S 0.0000 0.4493 0.2500 1
```

The 6 most intense peaks (10° ≤ 2θ ≤ 80°), sorted by position:
- hkl 0 2 1, 2θ 16.52, I = 65
- hkl 0 2 3, 2θ 28.14, I = 81
- hkl 1 1 2, 2θ 30.89, I = 41
- hkl 1 3 1, 2θ 34.55, I = 100
- hkl 1 3 2, 2θ 37.36, I = 44
- hkl 1 5 2, 2θ 48.08, I = 43

***

No. 8
This entry pairs a crystal structure of Pa2TiS6 with its calculated PXRD pattern. Radiation: Cu Kα (λ = 1.5418 Å). Structure: DFT lattice parameters and positions (GGA-PBE).
Peak positions follow from Bragg's law for the DFT cell and can differ from measured ones.

```
data_Pa2TiS6
_chemical_formula_sum 'Pa4 Ti2 S12'
_symmetry_space_group_name_H-M 'P 1 21/c 1'
_symmetry_Int_Tables_number 14
_cell_length_a 6.0888
_cell_length_b 7.0772
_cell_length_c 10.4015
_cell_angle_alpha 90.00
_cell_angle_beta 124.70
_cell_angle_gamma 90.00
loop_
_symmetry_equiv_pos_as_xyz
'x,y,z'
'-x,-y,-z'
'-x,y+1/2,-z+1/2'
'x,-y+1/2,z+1/2'
loop_
_atom_site_label
_atom_site_type_symbol
_atom_site_fract_x
_atom_site_fract_y
_atom_site_fract_z
_atom_site_occupancy
Pa1 Pa 0.2091 0.1253 0.2525 1
Ti1 Ti 0.5000 0.0000 0.0000 1
S1 S 0.1021 0.1714 0.9396 1
S2 S 0.2865 0.6881 0.9377 1
S3 S 0.3764 0.0365 0.7359 1
```

The 6 most intense peaks (10° ≤ 2θ ≤ 80°), sorted by position:
- hkl 1 1 -1, 2θ 19.23, I = 92
- hkl 0 0 2, 2θ 20.77, I = 87
- hkl 1 1 0, 2θ 21.75, I = 100
- hkl 1 1 -2, 2θ 22.02, I = 93
- hkl 0 2 1, 2θ 27.27, I = 97
- hkl 0 2 3, 2θ 40.64, I = 100

***

No. 9
This entry pairs a crystal structure of BiB2Pt8 with its calculated PXRD pattern. Radiation: Cu Kα (λ = 1.5418 Å). Structure: DFT lattice parameters and positions (GGA-PBE).
Peak positions follow from Bragg's law for the DFT cell and can differ from measured ones.

```
data_BiB2Pt8
_chemical_formula_sum 'Bi2 B4 Pt16'
_symmetry_space_group_name_H-M 'C m m m'
_symmetry_Int_Tables_number 65
_symmetry_space_group_name_Hall '-C 2 2'
_cell_length_a 5.4298
_cell_length_b 9.5835
_cell_length_c 7.4611
_cell_angle_alpha 90.00
_cell_angle_beta 90.00
_cell_angle_gamma 90.00
loop_
_atom_site_label
_atom_site_type_symbol
_atom_site_fract_x
_atom_site_fract_y
_atom_site_fract_z
_atom_site_occupancy
Bi1 Bi 0.0000 0.0000 0.0000 1
B1 B 0.0000 0.3539 0.5000 1
Pt1 Pt 0.0000 0.2935 0.0000 1
Pt2 Pt 0.0000 0.5000 0.2803 1
Pt3 Pt 0.2500 0.2500 0.3160 1
```

The 6 most intense peaks (10° ≤ 2θ ≤ 80°), sorted by position:
- hkl 2 0 1, 2θ 35.18, I = 62
- hkl 0 0 3, 2θ 36.12, I = 100
- hkl 0 4 0, 2θ 37.54, I = 92
- hkl 2 2 0, 2θ 38.10, I = 80
- hkl 1 3 2, 2θ 40.73, I = 93
- hkl 2 2 2, 2θ 45.45, I = 92

***

No. 10
This entry pairs a crystal structure of HfTiZnCd with its calculated PXRD pattern. Radiation: Cu Kα (λ = 1.5418 Å). Structure: DFT lattice parameters and positions (GGA-PBE).
Peak positions follow from Bragg's law for the DFT cell and can differ from measured ones.

```
data_HfTiZnCd
_chemical_formula_sum 'Hf1 Ti1 Zn1 Cd1'
_symmetry_space_group_name_H-M 'P 4 m m'
_symmetry_Int_Tables_number 99
_cell_length_a 3.0388
_cell_length_b 3.0388
_cell_length_c 7.9798
_cell_angle_alpha 90.00
_cell_angle_beta 90.00
_cell_angle_gamma 90.00
loop_
_symmetry_equiv_pos_as_xyz
'x,y,z'
'-y,x,z'
'-x,-y,z'
'y,-x,z'
'-x,y,z'
'y,x,z'
'x,-y,z'
'-y,-x,z'
loop_
_atom_site_label
_atom_site_type_symbol
_atom_site_fract_x
_atom_site_fract_y
_atom_site_fract_z
_atom_site_occupancy
Hf1 Hf 0.0000 0.0000 0.0000 1
Ti1 Ti 0.0000 0.0000 0.5401 1
Zn1 Zn 0.5000 0.5000 0.7592 1
Cd1 Cd 0.5000 0.5000 0.2815 1
```

The 6 most intense peaks (10° ≤ 2θ ≤ 80°), sorted by position:
- hkl 0 0 1, 2θ 11.09, I = 33
- hkl 1 0 1, 2θ 31.50, I = 24
- hkl 1 0 2, 2θ 37.19, I = 100
- hkl 1 1 0, 2θ 42.05, I = 37
- hkl 1 1 4, 2θ 63.65, I = 18
- hkl 2 1 2, 2θ 73.64, I = 26

***

Q: Number 6 is which compound?
A: Ce3Sn5Rh6